Diffraction record for Nd6Zn2Hg. The X-ray diffraction stick pattern is theoretical, not measured: it uses a DFT-relaxed cell (PBE, Alexandria) and Cu Ka.
Lines closer than 0.1° are merged.

Unit cell a=10.141 b=8.346 c=6.866 alpha=83.00 beta=54.78 gamma=42.22
Element x y z (fractional)
Nd  0.023  0.316  0.684
Nd  0.316  0.023  0.977
Nd  0.350  0.650  0.350
Nd  0.650  0.350  0.650
Nd  0.684  0.977  0.023
Nd  0.977  0.684  0.316
Zn  0.333  0.333  0.667
Zn  0.667  0.667  0.333
Hg  0.000  0.000  0.000

Largest 10 diffraction maxima, sorted by position, 10° ≤ 2θ ≤ 90°:
d = 3.582 Å, I = 4.5
d = 2.798 Å, I = 100.0
d = 2.641 Å, I = 46.8
d = 2.112 Å, I = 8.4
d = 2.097 Å, I = 5.5
d = 1.867 Å, I = 17.7
d = 1.650 Å, I = 15.3
d = 1.553 Å, I = 33.6
d = 1.399 Å, I = 8.8
d = 1.194 Å, I = 7.0

***

Diffraction record for LaZrNi10. The X-ray diffraction stick pattern is theoretical, not measured: it uses a DFT-relaxed cell (PBE, Alexandria) and Cu Ka.
Lines closer than 0.1° are merged.

Unit cell a=3.971 b=4.864 c=8.466 alpha=90.00 beta=90.00 gamma=90.00
Element x y z (fractional)
La  0.000  0.000  0.000
Zr  0.000  0.500  0.500
Ni  0.000  0.000  0.343
Ni  0.000  0.000  0.657
Ni  0.000  0.500  0.180
Ni  0.000  0.500  0.820
Ni  0.500  0.000  0.500
Ni  0.500  0.256  0.262
Ni  0.500  0.256  0.738
Ni  0.500  0.500  0.000
Ni  0.500  0.744  0.262
Ni  0.500  0.744  0.738

Largest 10 diffraction maxima, sorted by position, 10° ≤ 2θ ≤ 90°:
d = 2.893 Å, I = 53.9
d = 2.441 Å, I = 26.4
d = 2.109 Å, I = 32.0
d = 2.079 Å, I = 100.0
d = 2.074 Å, I = 50.1
d = 1.985 Å, I = 44.0
d = 1.539 Å, I = 18.5
d = 1.446 Å, I = 18.0
d = 1.325 Å, I = 20.8
d = 1.163 Å, I = 21.1

***

Diffraction record for Tb3Pm8Y2. The X-ray diffraction stick pattern is theoretical, not measured: it uses a DFT-relaxed cell (PBE, Alexandria) and Cu Ka.
Lines closer than 0.1° are merged.

Unit cell a=6.167 b=6.798 c=12.039 alpha=87.52 beta=76.41 gamma=63.85
Element x y z (fractional)
Tb  0.000  0.000  0.000
Tb  0.308  0.773  0.466
Tb  0.692  0.227  0.534
Pm  0.151  0.170  0.698
Pm  0.227  0.312  0.387
Pm  0.255  0.625  0.762
Pm  0.378  0.910  0.176
Pm  0.622  0.090  0.824
Pm  0.745  0.375  0.238
Pm  0.773  0.688  0.613
Pm  0.849  0.830  0.302
Y  0.269  0.427  0.071
Y  0.731  0.573  0.929

Largest 10 diffraction maxima, sorted by position, 10° ≤ 2θ ≤ 90°:
d = 3.082 Å, I = 37.5
d = 2.897 Å, I = 65.2
d = 2.843 Å, I = 48.8
d = 2.822 Å, I = 100.0
d = 2.784 Å, I = 50.5
d = 2.768 Å, I = 16.8
d = 2.732 Å, I = 16.1
d = 2.089 Å, I = 13.7
d = 1.892 Å, I = 16.8
d = 1.665 Å, I = 20.1

***

Diffraction record for NdSm2Sn. The X-ray diffraction stick pattern is theoretical, not measured: it uses a DFT-relaxed cell (PBE, Alexandria) and Cu Ka.
Lines closer than 0.1° are merged.

Unit cell a=3.611 b=6.528 c=11.366 alpha=95.91 beta=99.08 gamma=106.04
Element x y z (fractional)
Nd  0.030  0.406  0.155
Nd  0.970  0.594  0.845
Sm  0.184  0.284  0.587
Sm  0.255  0.123  0.884
Sm  0.745  0.877  0.116
Sm  0.816  0.716  0.413
Sn  0.498  0.840  0.655
Sn  0.502  0.160  0.345

Largest 10 diffraction maxima, sorted by position, 10° ≤ 2θ ≤ 90°:
d = 3.091 Å, I = 19.7
d = 2.979 Å, I = 21.9
d = 2.903 Å, I = 53.2
d = 2.790 Å, I = 100.0
d = 2.772 Å, I = 35.4
d = 2.666 Å, I = 70.3
d = 2.543 Å, I = 20.6
d = 1.740 Å, I = 19.2
d = 1.557 Å, I = 19.0
d = 1.512 Å, I = 23.0

***

Diffraction record for PmSm3Pa2N6. The X-ray diffraction stick pattern is theoretical, not measured: it uses a DFT-relaxed cell (PBE, Alexandria) and Cu Ka.
Lines closer than 0.1° are merged.

Unit cell a=6.166 b=6.166 c=6.162 alpha=99.59 beta=99.59 gamma=120.01
Element x y z (fractional)
Pm  0.000  0.000  0.000
Sm  0.165  0.835  0.500
Sm  0.500  0.500  0.500
Sm  0.835  0.165  0.500
Pa  0.333  0.667  0.000
Pa  0.667  0.333  0.000
N  0.076  0.430  0.228
N  0.278  0.278  0.773
N  0.430  0.076  0.228
N  0.570  0.924  0.772
N  0.722  0.722  0.227
N  0.924  0.570  0.772

Largest 10 diffraction maxima, sorted by position, 10° ≤ 2θ ≤ 90°:
d = 5.809 Å, I = 3.5
d = 2.906 Å, I = 100.0
d = 2.517 Å, I = 69.2
d = 1.779 Å, I = 48.4
d = 1.518 Å, I = 46.1
d = 1.453 Å, I = 16.4
d = 1.258 Å, I = 7.6
d = 1.155 Å, I = 11.5
d = 1.154 Å, I = 8.2
d = 1.125 Å, I = 21.9